# Zn2CdBr
Theoretical X-ray powder pattern, Cu Kα (λ = 1.5418 Å). Input: the GGA-PBE geometry in Alexandria.
Lines closer than 0.1° are merged.

Cell and atoms:
Lattice parameters (Å, degrees): 3.9192 5.7273 8.0415 90.00 90.00 90.00
Fractional coordinates of all 8 atoms:
Zn  0.0000  0.0000  0.0000
Zn  0.0000  0.5000  0.2111
Zn  0.5000  0.0000  0.2111
Zn  0.5000  0.5000  0.0000
Cd  0.0000  0.0000  0.4585
Cd  0.5000  0.5000  0.4585
Br  0.0000  0.5000  0.7618
Br  0.5000  0.0000  0.7618

Largest 8 diffraction maxima, in order of falling intensity, 2θ from 5° to 70°:
2θ (°), d (Å), I/Imax, (hkl)
35.6, 2.520, 1000, 1 1 2
31.2, 2.864, 391, 0 2 0
58.5, 1.579, 225, 1 3 2
46.3, 1.959, 165, 2 0 0
56.9, 1.617, 134, 2 2 0
55.9, 1.645, 98, 0 2 4
45.1, 2.010, 95, 0 0 4
29.8, 3.001, 88, 1 1 1


# LiCa2H4
Theoretical X-ray powder pattern, Cu Kα (λ = 1.5418 Å). Input: the GGA-PBE geometry in Alexandria.
Lines closer than 0.1° are merged.

Cell and atoms:
Lattice parameters (Å, degrees): 10.6039 3.4663 5.8833 90.00 113.23 90.00
Fractional coordinates of all 14 atoms:
Li  0.0000  0.0000  0.0000
Li  0.5000  0.5000  0.0000
Ca  0.1840  0.5000  0.7036
Ca  0.3160  0.0000  0.2964
Ca  0.6840  0.0000  0.7036
Ca  0.8160  0.5000  0.2964
H  0.1458  0.0000  0.9148
H  0.1615  0.5000  0.2929
H  0.3385  0.0000  0.7071
H  0.3542  0.5000  0.0852
H  0.6458  0.5000  0.9148
H  0.6615  0.0000  0.2929
H  0.8385  0.5000  0.7071
H  0.8542  0.0000  0.0852

Largest 8 diffraction maxima, in order of falling intensity, 2θ from 5° to 70°:
2θ (°), d (Å), I/Imax, (hkl)
30.0, 2.975, 1000, 1 1 -1
18.2, 4.872, 716, 2 0 0
33.9, 2.646, 603, 4 0 -1
38.0, 2.370, 487, 3 1 0
29.1, 3.067, 455, 2 0 1
30.9, 2.898, 428, 2 0 -2
52.9, 1.732, 295, 0 2 0
19.1, 4.643, 292, 2 0 -1


Which formula does entry 1 have?
Zn2CdBr